Record 1
For MgMoAsO5, the PBE+U geometry in the Materials Project gives the computed XRD peak list in this record (Cu Kα, 1.54184 Å).

Largest 12 diffraction maxima, sorted by position, 2θ = 10–80°:
2θ = 14.9°, I 100
2θ = 16.9°, I 51
2θ = 20.1°, I 29
2θ = 21.9°, I 28
2θ = 25.7°, I 47
2θ = 30.2°, I 49
2θ = 30.9°, I 66
2θ = 32.9°, I 43
2θ = 34.1°, I 23
2θ = 34.9°, I 28
2θ = 35.9°, I 28
2θ = 54.0°, I 42

Structural model:
Unit cell a=6.6258 b=8.1334 c=8.6567 alpha=90.00 beta=90.00 gamma=90.00
Space group P2_12_12_1 (No. 19)
One atom of each set of equivalent atoms:
Mg  0.1290  0.1626  0.3232 (multiplicity 4)
Mo  0.2347  0.7523  0.4955 (multiplicity 4)
As  0.0264  0.0920  0.6760 (multiplicity 4)
O  0.0133  0.1534  0.1190 (multiplicity 4)
O  0.0139  0.4070  0.9215 (multiplicity 4)
O  0.0933  0.2288  0.5384 (multiplicity 4)
O  0.1939  0.6497  0.7339 (multiplicity 4)
O  0.2116  0.0596  0.8138 (multiplicity 4)


Record 2
For MgNiAs2O7, the PBE+U geometry in the Materials Project gives the computed XRD peak list in this record (Cu Kα, 1.54184 Å).

Largest 12 diffraction maxima, sorted by position, 2θ = 10–80°:
2θ = 20.7°, I 11
2θ = 22.2°, I 9
2θ = 26.7°, I 6
2θ = 28.3°, I 100
2θ = 34.0°, I 17
2θ = 35.2°, I 11
2θ = 38.8°, I 5
2θ = 42.0°, I 7
2θ = 46.0°, I 7
2θ = 55.6°, I 10
2θ = 60.4°, I 7
2θ = 66.6°, I 5

Structural model:
Unit cell a=7.2585 b=8.5986 c=9.6799 alpha=90.00 beta=113.37 gamma=90.00
Space group P2_1/c (No. 14)
One atom of each set of equivalent atoms:
Mg  0.2309  0.0741  0.1058 (multiplicity 4)
Ni  0.3169  0.0607  0.6854 (multiplicity 4)
As  0.0628  0.7277  0.7479 (multiplicity 4)
As  0.4758  0.7199  0.0401 (multiplicity 4)
O  0.0316  0.5985  0.6065 (multiplicity 4)
O  0.1436  0.2381  0.7080 (multiplicity 4)
O  0.1448  0.5954  0.2277 (multiplicity 4)
O  0.2400  0.6429  0.9182 (multiplicity 4)
O  0.3669  0.2313  0.5526 (multiplicity 4)
O  0.4489  0.6026  0.6088 (multiplicity 4)
O  0.4687  0.0769  0.3271 (multiplicity 4)


Record 3
For MgVAsO5, the PBE+U geometry in the Materials Project gives the computed XRD peak list in this record (Cu Kα, 1.54184 Å).

Largest 12 diffraction maxima, sorted by position, 2θ = 10–80°:
2θ = 15.1°, I 45
2θ = 17.7°, I 99
2θ = 20.7°, I 57
2θ = 23.7°, I 30
2θ = 24.2°, I 35
2θ = 26.0°, I 100
2θ = 30.4°, I 47
2θ = 32.5°, I 45
2θ = 33.6°, I 73
2θ = 36.6°, I 41
2θ = 37.4°, I 56
2θ = 55.3°, I 47

Structural model:
Unit cell a=6.2428 b=8.1834 c=8.4683 alpha=90.00 beta=90.00 gamma=90.00
Space group P2_12_12_1 (No. 19)
One atom of each set of equivalent atoms:
Mg  0.1160  0.1546  0.3187 (multiplicity 4)
V  0.2374  0.7580  0.4936 (multiplicity 4)
As  0.0160  0.0904  0.6806 (multiplicity 4)
O  0.0036  0.1538  0.1040 (multiplicity 4)
O  0.0159  0.4020  0.9112 (multiplicity 4)
O  0.0817  0.2270  0.5384 (multiplicity 4)
O  0.2154  0.6482  0.7242 (multiplicity 4)
O  0.2226  0.0661  0.8170 (multiplicity 4)


Record 4
For MgVAs2O7, the PBE+U geometry in the Materials Project gives the computed XRD peak list in this record (Cu Kα, 1.54184 Å).

Largest 12 diffraction maxima, sorted by position, 2θ = 10–80°:
2θ = 16.7°, I 14
2θ = 19.2°, I 16
2θ = 21.6°, I 24
2θ = 22.8°, I 14
2θ = 25.7°, I 94
2θ = 27.4°, I 100
2θ = 28.7°, I 51
2θ = 34.6°, I 23
2θ = 35.6°, I 18
2θ = 36.2°, I 22
2θ = 42.0°, I 17
2θ = 51.6°, I 23

Structural model:
Unit cell a=7.8437 b=8.2323 c=10.8220 alpha=90.00 beta=121.49 gamma=90.00
Space group P2_1/c (No. 14)
One atom of each set of equivalent atoms:
Mg  0.2233  0.0810  0.1217 (multiplicity 4)
V  0.3187  0.0484  0.7030 (multiplicity 4)
As  0.0436  0.7193  0.7353 (multiplicity 4)
As  0.4683  0.7222  0.0344 (multiplicity 4)
O  0.0210  0.5814  0.6098 (multiplicity 4)
O  0.1451  0.6020  0.2198 (multiplicity 4)
O  0.1759  0.2467  0.7677 (multiplicity 4)
O  0.1993  0.6541  0.9143 (multiplicity 4)
O  0.2653  0.1872  0.5742 (multiplicity 4)
O  0.4355  0.5905  0.6147 (multiplicity 4)
O  0.5004  0.0901  0.3217 (multiplicity 4)


Record 5
For Mg3V3As4O16, the PBE+U geometry in the Materials Project gives the computed XRD peak list in this record (Cu Kα, 1.54184 Å).

Largest 12 diffraction maxima, sorted by position, 2θ = 10–80°:
2θ = 13.1°, I 22
2θ = 24.3°, I 31
2θ = 24.6°, I 51
2θ = 26.1°, I 100
2θ = 29.3°, I 41
2θ = 33.6°, I 17
2θ = 34.3°, I 30
2θ = 35.1°, I 23
2θ = 35.4°, I 25
2θ = 36.5°, I 16
2θ = 37.6°, I 20
2θ = 59.4°, I 23

Structural model:
Unit cell a=8.9982 b=5.2344 c=15.5123 alpha=90.00 beta=109.06 gamma=90.00
Space group P2_1/c (No. 14)
One atom of each set of equivalent atoms:
Mg  0.0000  0.0000  0.0000 (multiplicity 2)
Mg  0.2988  0.0662  0.2897 (multiplicity 4)
V  0.2360  0.5625  0.3811 (multiplicity 4)
V  0.5000  0.0000  0.5000 (multiplicity 2)
As  0.0485  0.0015  0.6527 (multiplicity 4)
As  0.3906  0.0177  0.1031 (multiplicity 4)
O  0.0016  0.1881  0.8773 (multiplicity 4)
O  0.1004  0.1835  0.5776 (multiplicity 4)
O  0.1132  0.6183  0.8225 (multiplicity 4)
O  0.2028  0.0731  0.7566 (multiplicity 4)
O  0.2294  0.6072  0.5042 (multiplicity 4)
O  0.3687  0.6181  0.6988 (multiplicity 4)
O  0.3969  0.6930  0.8936 (multiplicity 4)
O  0.4380  0.1990  0.9116 (multiplicity 4)


Record 6
For MgAsWO5, the PBE+U geometry in the Materials Project gives the computed XRD peak list in this record (Cu Kα, 1.54184 Å).

Largest 12 diffraction maxima, sorted by position, 2θ = 10–80°:
2θ = 14.7°, I 100
2θ = 19.2°, I 21
2θ = 22.3°, I 62
2θ = 29.6°, I 12
2θ = 31.1°, I 37
2θ = 33.0°, I 46
2θ = 35.1°, I 10
2θ = 35.3°, I 14
2θ = 37.2°, I 20
2θ = 42.2°, I 24
2θ = 46.4°, I 21
2θ = 55.0°, I 10

Structural model:
Unit cell a=6.0818 b=7.9766 c=9.2458 alpha=90.00 beta=90.00 gamma=90.00
Space group P2_12_12_1 (No. 19)
One atom of each set of equivalent atoms:
Mg  0.0110  0.1507  0.1279 (multiplicity 4)
As  0.0650  0.6730  0.6944 (multiplicity 4)
W  0.2296  0.2552  0.5228 (multiplicity 4)
O  0.0170  0.5940  0.9719 (multiplicity 4)
O  0.0226  0.9161  0.0365 (multiplicity 4)
O  0.1713  0.7520  0.5330 (multiplicity 4)
O  0.2266  0.3074  0.7245 (multiplicity 4)
O  0.2289  0.2107  0.2957 (multiplicity 4)


Record 7
For Nd2MnAs2O, the PBE+U geometry in the Materials Project gives the computed XRD peak list in this record (Cu Kα, 1.54184 Å).

Largest 12 diffraction maxima, sorted by position, 2θ = 10–80°:
2θ = 23.1°, I 23
2θ = 26.6°, I 100
2θ = 35.0°, I 11
2θ = 35.6°, I 31
2θ = 38.0°, I 38
2θ = 39.8°, I 12
2θ = 44.5°, I 22
2θ = 45.0°, I 16
2θ = 52.6°, I 13
2θ = 54.9°, I 13
2θ = 62.0°, I 18
2θ = 67.1°, I 10

Structural model:
Unit cell a=3.3461 b=3.3461 c=15.3831 alpha=90.00 beta=90.00 gamma=90.00
Space group P4/mmm (No. 123)
One atom of each set of equivalent atoms:
Nd  0.0000  0.0000  0.1368 (multiplicity 2)
Mn  0.0000  0.0000  0.5000 (multiplicity 1)
As  0.0000  0.0000  0.3383 (multiplicity 2)
O  0.0000  0.0000  0.0000 (multiplicity 1)


Record 8
For NdMnAsO, the PBE+U geometry in the Materials Project gives the computed XRD peak list in this record (Cu Kα, 1.54184 Å).

Largest 12 diffraction maxima, sorted by position, 2θ = 10–80°:
2θ = 29.0°, I 100
2θ = 30.4°, I 23
2θ = 32.0°, I 23
2θ = 36.3°, I 19
2θ = 36.5°, I 21
2θ = 43.5°, I 34
2θ = 50.5°, I 26
2θ = 53.2°, I 37
2θ = 58.1°, I 11
2θ = 63.2°, I 11
2θ = 68.2°, I 9
2θ = 71.1°, I 8

Structural model:
Unit cell a=4.1586 b=4.1586 c=9.1591 alpha=90.00 beta=90.00 gamma=90.00
Space group P4/nmm (No. 129, origin choice 2)
One atom of each set of equivalent atoms:
Nd  0.2500  0.2500  0.1238 (multiplicity 2)
Mn  0.2500  0.7500  0.5000 (multiplicity 2)
As  0.2500  0.2500  0.6814 (multiplicity 2)
O  0.2500  0.7500  0.0000 (multiplicity 2)


Record 9
For Mn3As2O14, the PBE+U geometry in the Materials Project gives the computed XRD peak list in this record (Cu Kα, 1.54184 Å).

Largest 12 diffraction maxima, sorted by position, 2θ = 10–80°:
2θ = 17.9°, I 100
2θ = 19.2°, I 13
2θ = 22.1°, I 12
2θ = 26.4°, I 24
2θ = 27.4°, I 10
2θ = 27.7°, I 47
2θ = 31.4°, I 11
2θ = 32.7°, I 9
2θ = 33.5°, I 19
2θ = 33.8°, I 14
2θ = 36.3°, I 10
2θ = 36.4°, I 17

Structural model:
Unit cell a=5.4213 b=5.4304 c=9.6702 alpha=95.77 beta=91.23 gamma=113.65
Space group P1 (No. 1)
One atom of each set of equivalent atoms:
Mn  0.0000  0.0000  0.0000 (multiplicity 1)
Mn  0.1062  0.2834  0.4899 (multiplicity 1)
Mn  0.6057  0.7833  0.4880 (multiplicity 1)
As  0.0978  0.7127  0.2857 (multiplicity 1)
As  0.1074  0.8525  0.6885 (multiplicity 1)
O  0.1724  0.8422  0.8602 (multiplicity 1)
O  0.2576  0.1752  0.6429 (multiplicity 1)
O  0.2644  0.2126  0.0901 (multiplicity 1)
O  0.2643  0.6633  0.5879 (multiplicity 1)
O  0.4383  0.8750  0.3328 (multiplicity 1)
O  0.4409  0.4170  0.4133 (multiplicity 1)
O  0.6600  0.6980  0.9426 (multiplicity 1)
O  0.7262  0.0420  0.0825 (multiplicity 1)
O  0.7686  0.1465  0.5636 (multiplicity 1)
O  0.7700  0.6805  0.6375 (multiplicity 1)
O  0.8867  0.1467  0.8802 (multiplicity 1)
O  0.9514  0.9055  0.3950 (multiplicity 1)
O  0.9559  0.3922  0.3357 (multiplicity 1)
O  0.9970  0.6998  0.1178 (multiplicity 1)